Simulated XRD peak list of Th6CoI15 for Cu Kα (weighted mean of Kα1 and Kα2), from a DFT-relaxed cell (GGA-PBE, Alexandria).

Cell and atoms:
Lattice parameters (Å, degrees): 10.7239 10.7239 10.7239 109.47 109.47 109.47
Fractional coordinates of all 22 atoms:
Th 0.0000 0.2280 0.2280
Th 0.0000 0.7720 0.7720
Th 0.2280 0.0000 0.2280
Th 0.2280 0.2280 0.0000
Th 0.7720 0.0000 0.7720
Th 0.7720 0.7720 0.0000
Co 0.0000 0.0000 0.0000
I 0.0000 0.2527 0.7473
I 0.0000 0.5000 0.5000
I 0.0000 0.7473 0.2527
I 0.2527 0.0000 0.7473
I 0.2527 0.2527 0.5054
I 0.2527 0.5054 0.2527
I 0.2527 0.7473 0.0000
I 0.4946 0.7473 0.7473
I 0.5000 0.0000 0.5000
I 0.5000 0.5000 0.0000
I 0.5054 0.2527 0.2527
I 0.7473 0.0000 0.2527
I 0.7473 0.2527 0.0000
I 0.7473 0.4946 0.7473
I 0.7473 0.7473 0.4946

The 10 most intense peaks (10° ≤ 2θ ≤ 90°), low angle first:
- 2θ = 10.10°, I = 48.9
- 2θ = 17.54°, I = 15.5
- 2θ = 26.94°, I = 35.9
- 2θ = 28.84°, I = 100.0
- 2θ = 33.96°, I = 20.5
- 2θ = 41.24°, I = 72.9
- 2θ = 51.10°, I = 24.9
- 2θ = 54.45°, I = 14.0
- 2θ = 67.68°, I = 29.8
- 2θ = 75.18°, I = 21.1